Diffraction record for LiCrSiO4. The powder XRD pattern is calculated, not measured: it uses the GGA+U geometry in the Materials Project and Cu Kα.
Intensities are scaled so that the largest is 100.

The 8 most intense peaks (2θ from 10° to 80°), by intensity:
two_theta	d [Å]	intensity	h k l
19.29	4.601	100	1 0 1
18.51	4.793	72	0 1 1
44.77	2.024	64	2 2 0
36.14	2.485	45	1 2 1
64.73	1.440	36	2 2 4
44.19	2.049	31	0 0 4
36.64	2.452	20	1 0 3
67.41	1.389	15	4 0 0

Structure:
a b c (Å): 5.559 5.907 8.198
angles (deg): 90.00 90.00 90.00
Space group Imma (No. 74)
Asymmetric unit:
Li  0.000  0.250  0.120
Cr  0.000  0.000  0.500
Si  0.250  0.250  0.750
O  0.000  0.042  0.746
O  0.239  0.250  0.533

Diffraction record for MgMn4O6. The powder XRD pattern is calculated, not measured: it uses the GGA+U geometry in the Materials Project and Cu Kα.
Intensities are scaled so that the largest is 100.

The 8 most intense peaks (2θ from 10° to 80°), by intensity:
two_theta	d [Å]	intensity	h k l
33.91	2.643	100	0 5 1
41.42	2.180	70	1 2 1
11.48	7.710	50	0 2 0
40.10	2.248	49	1 1 1
43.54	2.079	48	1 3 1
32.84	2.727	31	1 2 0
34.98	2.565	29	0 0 2
31.22	2.865	26	1 1 0

Structure:
a b c (Å): 3.041 15.421 5.348
angles (deg): 90.00 106.42 90.00
Space group P2_1/m (No. 11)
Asymmetric unit:
Mg  0.160  0.250  0.320
Mn  0.096  0.642  0.191
Mn  0.364  0.545  0.728
O  0.000  0.000  0.000
O  0.207  0.750  0.413
O  0.280  0.072  0.560
O  0.445  0.659  0.889

Diffraction record for CrHO2. The powder XRD pattern is calculated, not measured: it uses the GGA+U geometry in the Materials Project and Cu Kα.
Intensities are scaled so that the largest is 100.

The 8 most intense peaks (2θ from 10° to 80°), by intensity:
two_theta	d [Å]	intensity	h k l
19.74	4.497	100	0 0 1
36.45	2.465	82	2 0 0
48.10	1.892	34	1 1 -2
60.55	1.529	24	0 2 0
48.21	1.887	17	2 0 1
64.32	1.448	12	3 1 -2
34.51	2.599	12	2 0 -1
59.34	1.557	12	1 1 2

Structure:
a b c (Å): 5.297 3.058 4.836
angles (deg): 90.00 111.58 90.00
Space group Cm (No. 8)
Asymmetric unit:
Cr  0.000  0.000  0.000
H  0.010  0.500  0.530
O  0.089  0.500  0.769
O  0.406  0.000  0.215

Diffraction record for LaFeTeO6. The powder XRD pattern is calculated, not measured: it uses the GGA+U geometry in the Materials Project and Cu Kα.
Intensities are scaled so that the largest is 100.

The 8 most intense peaks (2θ from 10° to 80°), by intensity:
two_theta	d [Å]	intensity	h k l
32.38	2.765	100	1 1 1
19.65	4.518	81	1 0 -2
38.19	2.357	29	1 0 -4
57.77	1.596	26	3 1 -1
46.37	1.958	26	2 2 -2
32.23	2.777	19	0 2 0
67.78	1.383	14	2 2 2
46.51	1.953	14	0 0 4

Structure:
a b c (Å): 5.523 5.554 9.564
angles (deg): 90.00 125.25 90.00
Space group Pc (No. 7)
Asymmetric unit:
La  0.000  0.215  0.000
Fe  0.757  0.258  0.252
Te  0.258  0.256  0.751
O  0.016  0.468  0.216
O  0.070  0.240  0.506
O  0.434  0.258  0.996
O  0.513  0.014  0.282
O  0.573  0.463  0.788
O  0.962  0.031  0.722

Diffraction record for CaVO3. The powder XRD pattern is calculated, not measured: it uses the GGA+U geometry in the Materials Project and Cu Kα.
Intensities are scaled so that the largest is 100.

The 8 most intense peaks (2θ from 10° to 80°), by intensity:
two_theta	d [Å]	intensity	h k l
32.95	2.719	100	1 2 1
47.72	1.906	41	2 0 2
32.78	2.732	26	2 0 0
46.84	1.939	25	0 4 0
59.79	1.547	24	1 2 3
33.69	2.660	22	0 0 2
69.10	1.359	19	2 4 2
58.63	1.575	15	3 2 1

Structure:
a b c (Å): 5.463 7.758 5.320
angles (deg): 90.00 90.00 90.00
Space group Pnma (No. 62)
Asymmetric unit:
Ca  0.045  0.250  0.005
V  0.000  0.000  0.500
O  0.019  0.750  0.425
O  0.201  0.538  0.784

Diffraction record for MgV6H6O18. The powder XRD pattern is calculated, not measured: it uses the GGA+U geometry in the Materials Project and Cu Kα.
Intensities are scaled so that the largest is 100.

The 8 most intense peaks (2θ from 10° to 80°), by intensity:
two_theta	d [Å]	intensity	h k l
10.79	8.201	100	0 0 1
26.92	3.311	44	1 2 -1
23.87	3.728	20	0 1 2
23.33	3.812	18	1 0 1
14.65	6.045	14	0 1 1
26.76	3.331	10	1 2 0
44.86	2.020	10	1 3 -3
18.01	4.926	9	1 0 -1

Structure:
a b c (Å): 5.203 8.945 8.550
angles (deg): 90.00 106.41 90.00
Space group Pm (No. 6)
Asymmetric unit:
Mg  0.000  0.000  0.000
V  0.175  0.500  0.748
V  0.401  0.207  0.529
V  0.746  0.308  0.866
V  0.943  0.000  0.625
H  0.496  0.000  0.339
H  0.502  0.086  0.096
H  0.565  0.408  0.287
H  0.635  0.500  0.126
O  0.075  0.145  0.499
O  0.077  0.350  0.893
O  0.162  0.000  0.813
O  0.410  0.000  0.134
O  0.412  0.348  0.694
O  0.421  0.294  0.362
O  0.527  0.000  0.460
O  0.649  0.500  0.942
O  0.650  0.500  0.248
O  0.725  0.162  0.694
O  0.757  0.176  0.015
O  0.902  0.500  0.597

Diffraction record for Li9Mn2Co5O16. The powder XRD pattern is calculated, not measured: it uses the GGA+U geometry in the Materials Project and Cu Kα.
Intensities are scaled so that the largest is 100.

The 8 most intense peaks (2θ from 10° to 80°), by intensity:
two_theta	d [Å]	intensity	h k l
18.39	4.824	100	1 1 0
42.35	2.134	29	2 0 -2
44.06	2.055	26	2 1 3
44.64	2.030	25	0 3 -1
35.24	2.547	16	-1 1 2
62.99	1.476	14	0 1 5
36.65	2.452	13	1 -2 1
36.32	2.473	13	1 0 3

Structure:
a b c (Å): 5.946 6.451 7.735
angles (deg): 89.45 81.21 76.49
Space group P-1 (No. 2)
Asymmetric unit:
Li  0.000  0.000  0.000
Li  0.000  0.500  0.500
Li  0.123  0.369  0.122
Li  0.239  0.243  0.752
Li  0.375  0.124  0.376
Li  0.500  0.000  0.000
Mn  0.367  0.627  0.879
Co  0.110  0.881  0.633
Co  0.246  0.751  0.250
Co  0.500  0.500  0.500
O  0.067  0.183  0.558
O  0.100  0.686  0.059
O  0.176  0.044  0.204
O  0.191  0.565  0.705
O  0.318  0.915  0.810
O  0.346  0.452  0.302
O  0.409  0.792  0.446
O  0.439  0.327  0.950